Structure and simulated powder XRD pattern of BaMn2N2 (a crystal structure in the Materials Project, relaxed with GGA-PBE; Cu Kα (weighted mean of Kα1 and Kα2)).
Neutral-atom scattering factors, no anomalous dispersion.

Structure:
```
BaMn2N2
1.0
-3.122 3.122 4.830
3.122 -3.122 4.830
3.122 3.122 -4.830
Ba Mn N
2 4 4
Direct
0.250 0.250 0.000 Ba
0.750 0.750 0.000 Ba
0.136 0.636 0.771 Mn
0.364 0.136 0.500 Mn
0.636 0.864 0.500 Mn
0.864 0.364 0.229 Mn
0.160 0.340 0.500 N
0.340 0.840 0.180 N
0.660 0.160 0.820 N
0.840 0.660 0.500 N
```

The 8 most intense peaks (15° ≤ 2θ ≤ 90°), low angle first:
| 2theta | I_rel |
| --- | --- |
| 20.11 | 15 |
| 27.37 | 100 |
| 28.59 | 14 |
| 34.20 | 39 |
| 37.23 | 22 |
| 45.96 | 28 |
| 60.57 | 24 |
| 62.53 | 16 |